This entry pairs a crystal structure of NpMn2CdO6 with its computed X-ray powder pattern. Radiation: Cu Kα. Structure: a crystal structure in Alexandria, relaxed with GGA+U.
Intensities are scaled so that the largest is 100.

Top 10 peaks for 2θ = 5–70°, sorted by position:
d [Å]	intensity
4.589	26
4.055	95
2.961	100
2.783	91
2.294	19
2.028	38
1.860	54
1.770	19
1.639	37
1.606	28

Unit cell a=5.946 b=5.946 c=5.946 alpha=55.80 beta=55.80 gamma=55.80
Fractional coordinates of all 10 atoms:
Np 0.000 0.000 0.000
Mn 0.208 0.208 0.208
Mn 0.697 0.697 0.697
Cd 0.488 0.488 0.488
O 0.077 0.807 0.384
O 0.270 0.612 0.912
O 0.384 0.077 0.807
O 0.612 0.912 0.270
O 0.807 0.384 0.077
O 0.912 0.270 0.612